Record 1
# La3SmSb3
Theoretical PXRD pattern, copper Kα. Input: a PBE-relaxed structure.

Peak list (12 most intense, 2θ from 10° to 80°, in order of rising 2θ)
2θ/deg  I/Imax
29.33  100
34.86  66
41.95  11
44.11  9
46.18  17
48.18  23
59.14  26
60.83  12
62.50  14
67.37  6
72.06  16
73.60  5

Crystal structure
Cell: 9.631 9.631 9.631 Å, 90.00 90.00 90.00°
Space group P2_13 (No. 198)
Asymmetric unit:
La 0.068 0.432 0.568 (multiplicity 4)
La 0.178 0.822 0.322 (multiplicity 4)
La 0.179 0.179 0.179 (multiplicity 4)
Sm 0.071 0.571 0.929 (multiplicity 4)
Sb 0.001 0.254 0.871 (multiplicity 12)

Record 2
# La3SmTm2Sb6
Theoretical PXRD pattern, copper Kα. Input: a PBE-relaxed structure.

Peak list (12 most intense, 2θ from 10° to 80°, in order of rising 2θ)
2θ/deg  I/Imax
12.06  2
24.17  2
28.01  100
39.97  39
40.09  37
49.51  21
49.71  6
57.89  13
65.43  18
65.60  17
72.64  19
72.91  6

Crystal structure
Cell: 7.815 13.534 7.785 Å, 90.00 109.55 90.00°
Space group C2/m (No. 12)
Asymmetric unit:
La 0.000 0.000 0.000 (multiplicity 2)
La 0.000 0.335 0.000 (multiplicity 4)
Sm 0.000 0.500 0.500 (multiplicity 2)
Tm 0.000 0.167 0.500 (multiplicity 4)
Sb 0.240 0.000 0.735 (multiplicity 4)
Sb 0.248 0.331 0.737 (multiplicity 8)

Record 3
# La5Sn2Sb
Theoretical PXRD pattern, copper Kα. Input: a PBE-relaxed structure.

Peak list (12 most intense, 2θ from 10° to 80°, in order of rising 2θ)
2θ/deg  I/Imax
25.07  22
28.53  91
29.07  69
29.38  39
30.92  100
32.95  47
34.02  19
37.15  52
38.91  19
44.18  22
46.49  20
47.85  35

Crystal structure
Cell: 8.630 13.143 4.841 Å, 90.00 90.00 90.00°
Space group Pbam (No. 55)
Asymmetric unit:
La 0.000 0.000 0.000 (multiplicity 2)
La 0.152 0.283 0.000 (multiplicity 4)
La 0.214 0.572 0.500 (multiplicity 4)
Sn 0.080 0.827 0.500 (multiplicity 4)
Sb 0.000 0.500 0.000 (multiplicity 2)